GdDyHo4: calculated powder XRD pattern (Cu Ka), based on a crystal structure in OQMD, relaxed with PBE.

The 12 most intense peaks (15 to 90 degrees two-theta), sorted by position:
2θ = 20.3°, rel. 511; 2θ = 20.5°, rel. 502; 2θ = 25.5°, rel. 690; 2θ = 25.6°, rel. 714; 2θ = 30.8°, rel. 801; 2θ = 32.4°, rel. 350; 2θ = 32.6°, rel. 331; 2θ = 36.0°, rel. 533; 2θ = 36.2°, rel. 526; 2θ = 37.2°, rel. 441; 2θ = 47.0°, rel. 1000; 2θ = 66.4°, rel. 356

Structural model:
a = 8.6800 Å, b = 8.7339 Å, c = 5.8055 Å
α = 90.00°, β = 90.00°, γ = 90.00°
Space group Cmmm (No. 65)
Unique sites:
Gd1 0.0000 0.0000 0.0000 [2 per cell]
Dy1 0.0000 0.5000 0.5000 [2 per cell]
Ho1 0.0000 0.1713 0.5000 [4 per cell]
Ho2 0.1716 0.5000 0.0000 [4 per cell]

=====

PrFe2C2: calculated powder XRD pattern (Cu Ka), based on a crystal structure in OQMD, relaxed with PBE.

The 12 most intense peaks (15 to 90 degrees two-theta), sorted by position:
2θ = 20.6°, rel. 166; 2θ = 28.2°, rel. 452; 2θ = 34.2°, rel. 1000; 2θ = 36.1°, rel. 514; 2θ = 37.0°, rel. 971; 2θ = 42.0°, rel. 359; 2θ = 45.7°, rel. 550; 2θ = 52.5°, rel. 225; 2θ = 56.4°, rel. 232; 2θ = 56.5°, rel. 167; 2θ = 61.3°, rel. 173; 2θ = 64.8°, rel. 182

Structural model:
a = 5.8970 Å, b = 8.6061 Å, c = 9.3286 Å
α = 90.00°, β = 90.00°, γ = 90.00°
Space group Fddd (No. 70, origin choice 2)
Unique sites:
Pr1 0.1250 0.1250 0.1250 [8 per cell]
Fe1 0.1250 0.1250 0.4936 [16 per cell]
C1 0.1250 0.3032 0.6250 [16 per cell]

=====

BiIrNO: calculated powder XRD pattern (Cu Ka), based on a crystal structure in OQMD, relaxed with PBE.

The 12 most intense peaks (15 to 90 degrees two-theta), sorted by position:
2θ = 26.1°, rel. 1000; 2θ = 31.3°, rel. 784; 2θ = 31.7°, rel. 373; 2θ = 31.8°, rel. 696; 2θ = 36.6°, rel. 226; 2θ = 37.8°, rel. 532; 2θ = 38.1°, rel. 422; 2θ = 42.1°, rel. 403; 2θ = 42.4°, rel. 274; 2θ = 45.1°, rel. 289; 2θ = 48.9°, rel. 320; 2θ = 59.2°, rel. 239

Structural model:
a = 5.6472 Å, b = 8.5726 Å, c = 4.9608 Å
α = 90.00°, β = 90.00°, γ = 90.00°
Space group Pca2_1 (No. 29)
Unique sites:
Bi1 0.0171 0.1673 0.0000 [4 per cell]
Ir1 0.0980 0.5131 0.2060 [4 per cell]
N1 0.1351 0.6422 0.8669 [4 per cell]
O1 0.1199 0.0829 0.5874 [4 per cell]

=====

Gd2YZn3AgAu2: calculated powder XRD pattern (Cu Ka), based on a crystal structure in OQMD, relaxed with PBE.

The 12 most intense peaks (15 to 90 degrees two-theta), sorted by position:
2θ = 23.4°, rel. 300; 2θ = 26.9°, rel. 157; 2θ = 33.2°, rel. 1000; 2θ = 36.0°, rel. 948; 2θ = 36.2°, rel. 329; 2θ = 41.2°, rel. 547; 2θ = 43.4°, rel. 358; 2θ = 47.3°, rel. 241; 2θ = 50.0°, rel. 132; 2θ = 61.0°, rel. 142; 2θ = 64.5°, rel. 287; 2θ = 66.6°, rel. 313

Structural model:
a = 3.8409 Å, b = 13.1397 Å, c = 7.5913 Å
α = 90.00°, β = 90.00°, γ = 90.00°
Space group Amm2 (No. 38)
Unique sites:
Gd1 0.0000 0.2027 0.0000 [4 per cell]
Y1 0.0000 0.0000 0.6080 [2 per cell]
Zn1 0.5000 0.0000 0.9421 [2 per cell]
Zn2 0.5000 0.1295 0.3331 [4 per cell]
Ag1 0.0000 0.0000 0.2030 [2 per cell]
Au1 0.5000 0.1663 0.7024 [4 per cell]

=====

Na3Pd: calculated powder XRD pattern (Cu Ka), based on a crystal structure in OQMD, relaxed with PBE.

The 12 most intense peaks (15 to 90 degrees two-theta), sorted by position:
2θ = 22.1°, rel. 522; 2θ = 25.6°, rel. 272; 2θ = 36.5°, rel. 1000; 2θ = 43.1°, rel. 266; 2θ = 52.6°, rel. 168; 2θ = 57.7°, rel. 113; 2θ = 59.3°, rel. 104; 2θ = 65.7°, rel. 327; 2θ = 70.2°, rel. 84; 2θ = 77.5°, rel. 97; 2θ = 81.8°, rel. 85; 2θ = 88.8°, rel. 135

Structural model:
a = 6.9657 Å, b = 6.9657 Å, c = 6.9657 Å
α = 90.00°, β = 90.00°, γ = 90.00°
Space group Fm-3m (No. 225)
Unique sites:
Na1 0.0000 0.0000 0.0000 [4 per cell]
Na2 0.2500 0.2500 0.2500 [8 per cell]
Pd1 0.0000 0.0000 0.5000 [4 per cell]

=====

Lu2Fe3B4Ir2: calculated powder XRD pattern (Cu Ka), based on a crystal structure in OQMD, relaxed with PBE.

The 12 most intense peaks (15 to 90 degrees two-theta), sorted by position:
2θ = 15.6°, rel. 346; 2θ = 20.9°, rel. 289; 2θ = 25.2°, rel. 298; 2θ = 30.7°, rel. 553; 2θ = 37.4°, rel. 951; 2θ = 39.4°, rel. 1000; 2θ = 39.8°, rel. 473; 2θ = 41.9°, rel. 286; 2θ = 46.9°, rel. 492; 2θ = 63.2°, rel. 359; 2θ = 72.0°, rel. 180; 2θ = 79.5°, rel. 229

Structural model:
a = 5.3017 Å, b = 9.0584 Å, c = 11.3566 Å
α = 90.00°, β = 90.00°, γ = 90.00°
Space group Fmmm (No. 69)
Unique sites:
Lu1 0.0000 0.0000 0.1355 [8 per cell]
Fe1 0.0000 0.0000 0.5000 [4 per cell]
Fe2 0.2500 0.2500 0.0000 [8 per cell]
B1 0.0000 0.1545 0.3756 [16 per cell]
Ir1 0.2500 0.2500 0.2500 [8 per cell]

=====

Y4Nb2Ni3C3: calculated powder XRD pattern (Cu Ka), based on a crystal structure in OQMD, relaxed with PBE.

The 12 most intense peaks (15 to 90 degrees two-theta), sorted by position:
2θ = 30.7°, rel. 197; 2θ = 31.4°, rel. 438; 2θ = 36.7°, rel. 1000; 2θ = 36.8°, rel. 474; 2θ = 39.9°, rel. 250; 2θ = 40.8°, rel. 199; 2θ = 40.9°, rel. 114; 2θ = 54.5°, rel. 154; 2θ = 61.5°, rel. 159; 2θ = 64.2°, rel. 100; 2θ = 64.4°, rel. 125; 2θ = 82.9°, rel. 104

Structural model:
a = 10.0674 Å, b = 5.8337 Å, c = 13.9719 Å
α = 90.00°, β = 103.75°, γ = 90.00°
Space group C2/c (No. 15)
Unique sites:
Y1 0.0447 0.0769 0.3827 [8 per cell]
Y2 0.2232 0.4085 0.9001 [8 per cell]
Nb1 0.1153 0.4081 0.5819 [8 per cell]
Ni1 0.0000 0.4405 0.7500 [4 per cell]
Ni2 0.2387 0.3336 0.2500 [8 per cell]
C1 0.0698 0.2741 0.0005 [8 per cell]
C2 0.2500 0.2500 0.5000 [4 per cell]

=====

Gd3ScC2Se2: calculated powder XRD pattern (Cu Ka), based on a crystal structure in OQMD, relaxed with PBE.

The 12 most intense peaks (15 to 90 degrees two-theta), sorted by position:
2θ = 27.6°, rel. 305; 2θ = 28.4°, rel. 123; 2θ = 30.8°, rel. 80; 2θ = 34.4°, rel. 1000; 2θ = 39.0°, rel. 60; 2θ = 41.1°, rel. 94; 2θ = 48.8°, rel. 282; 2θ = 50.2°, rel. 116; 2θ = 56.6°, rel. 116; 2θ = 61.1°, rel. 188; 2θ = 65.6°, rel. 142; 2θ = 81.8°, rel. 164

Structural model:
a = 3.7345 Å, b = 3.7345 Å, c = 13.1701 Å
α = 90.00°, β = 90.00°, γ = 120.00°
Space group P3m1 (No. 156)
Unique sites:
Gd1 0.0000 0.0000 0.0000 [1 per cell]
Gd2 0.0000 0.0000 0.3074 [1 per cell]
Gd3 0.3333 0.6667 0.5153 [1 per cell]
Sc1 0.3333 0.6667 0.8071 [1 per cell]
C1 0.6667 0.3333 0.4124 [1 per cell]
C2 0.6667 0.3333 0.8987 [1 per cell]
Se1 0.0000 0.0000 0.6712 [1 per cell]
Se2 0.3333 0.6667 0.1543 [1 per cell]

=====

GdNbHg: calculated powder XRD pattern (Cu Ka), based on a crystal structure in OQMD, relaxed with PBE.

The 10 most intense peaks (15 to 90 degrees two-theta), sorted by position:
2θ = 22.4°, rel. 503; 2θ = 25.9°, rel. 17; 2θ = 37.0°, rel. 1000; 2θ = 43.7°, rel. 274; 2θ = 53.3°, rel. 175; 2θ = 58.6°, rel. 117; 2θ = 66.7°, rel. 358; 2θ = 71.3°, rel. 88; 2θ = 78.8°, rel. 113; 2θ = 83.2°, rel. 90

Structural model:
a = 6.8704 Å, b = 6.8704 Å, c = 6.8704 Å
α = 90.00°, β = 90.00°, γ = 90.00°
Space group F-43m (No. 216)
Unique sites:
Gd1 0.0000 0.0000 0.0000 [4 per cell]
Nb1 0.0000 0.0000 0.5000 [4 per cell]
Hg1 0.2500 0.2500 0.2500 [4 per cell]

=====

Pr3Tl2HgPdAu2: calculated powder XRD pattern (Cu Ka), based on a crystal structure in OQMD, relaxed with PBE.

The 12 most intense peaks (15 to 90 degrees two-theta), sorted by position:
2θ = 31.4°, rel. 419; 2θ = 31.6°, rel. 883; 2θ = 33.8°, rel. 285; 2θ = 33.9°, rel. 226; 2θ = 34.1°, rel. 1000; 2θ = 34.2°, rel. 313; 2θ = 38.5°, rel. 405; 2θ = 38.8°, rel. 213; 2θ = 41.0°, rel. 403; 2θ = 45.5°, rel. 328; 2θ = 58.0°, rel. 224; 2θ = 61.1°, rel. 249

Structural model:
a = 3.9896 Å, b = 13.9151 Å, c = 8.1145 Å
α = 90.00°, β = 90.00°, γ = 90.00°
Space group Amm2 (No. 38)
Unique sites:
Pr1 0.0000 0.0000 0.0000 [2 per cell]
Pr2 0.0000 0.1978 0.3846 [4 per cell]
Tl1 0.5000 0.1269 0.7170 [4 per cell]
Hg1 0.5000 0.0000 0.3296 [2 per cell]
Pd1 0.0000 0.0000 0.5893 [2 per cell]
Au1 0.5000 0.1672 0.0875 [4 per cell]

=====

K2Re2Pb2O7: calculated powder XRD pattern (Cu Ka), based on a crystal structure in OQMD, relaxed with PBE.

The 12 most intense peaks (15 to 90 degrees two-theta), sorted by position:
2θ = 17.1°, rel. 124; 2θ = 21.3°, rel. 381; 2θ = 29.8°, rel. 1000; 2θ = 30.8°, rel. 875; 2θ = 32.5°, rel. 165; 2θ = 43.4°, rel. 348; 2θ = 53.0°, rel. 223; 2θ = 53.6°, rel. 391; 2θ = 55.4°, rel. 146; 2θ = 62.0°, rel. 149; 2θ = 70.8°, rel. 167; 2θ = 72.4°, rel. 128

Structural model:
a = 5.9896 Å, b = 5.9896 Å, c = 6.9995 Å
α = 90.00°, β = 90.00°, γ = 120.00°
Space group P-3 (No. 147)
Unique sites:
K1 0.3333 0.6667 0.0868 [2 per cell]
Re1 0.0000 0.0000 0.2196 [2 per cell]
Pb1 0.3333 0.6667 0.5652 [2 per cell]
O1 0.0000 0.0000 0.5000 [1 per cell]
O2 0.1128 0.3473 0.7993 [6 per cell]

=====

Sm2Ni2Cl: calculated powder XRD pattern (Cu Ka), based on a crystal structure in OQMD, relaxed with PBE.

The 12 most intense peaks (15 to 90 degrees two-theta), sorted by position:
2θ = 25.8°, rel. 355; 2θ = 34.2°, rel. 1000; 2θ = 42.6°, rel. 132; 2θ = 45.0°, rel. 94; 2θ = 45.5°, rel. 350; 2θ = 47.0°, rel. 59; 2θ = 52.6°, rel. 61; 2θ = 58.2°, rel. 212; 2θ = 65.9°, rel. 174; 2θ = 75.9°, rel. 112; 2θ = 76.8°, rel. 185; 2θ = 84.2°, rel. 57

Structural model:
a = 3.9850 Å, b = 3.9850 Å, c = 8.0641 Å
α = 90.00°, β = 90.00°, γ = 120.00°
Space group P-6m2 (No. 187)
Unique sites:
Sm1 0.0000 0.0000 0.2257 [2 per cell]
Ni1 0.3333 0.6667 0.0000 [1 per cell]
Ni2 0.6667 0.3333 0.0000 [1 per cell]
Cl1 0.6667 0.3333 0.5000 [1 per cell]

=====

SrZnSO: calculated powder XRD pattern (Cu Ka), based on a crystal structure in OQMD, relaxed with PBE.

The 12 most intense peaks (15 to 90 degrees two-theta), sorted by position:
2θ = 26.4°, rel. 273; 2θ = 28.0°, rel. 489; 2θ = 29.9°, rel. 737; 2θ = 30.3°, rel. 1000; 2θ = 30.4°, rel. 337; 2θ = 33.9°, rel. 465; 2θ = 40.3°, rel. 165; 2θ = 43.0°, rel. 698; 2θ = 46.4°, rel. 294; 2θ = 53.0°, rel. 287; 2θ = 56.2°, rel. 229; 2θ = 62.0°, rel. 280

Structural model:
a = 3.9133 Å, b = 13.4818 Å, c = 5.9856 Å
α = 90.00°, β = 90.00°, γ = 90.00°
Space group Cmc2_1 (No. 36)
Unique sites:
Sr1 0.0000 0.1524 0.0000 [4 per cell]
Zn1 0.0000 0.4320 0.0752 [4 per cell]
S1 0.0000 0.1676 0.4970 [4 per cell]
O1 0.0000 0.4441 0.4089 [4 per cell]

=====

NaNp2F8: calculated powder XRD pattern (Cu Ka), based on a crystal structure in OQMD, relaxed with PBE.

The 12 most intense peaks (15 to 90 degrees two-theta), sorted by position:
2θ = 15.1°, rel. 780; 2θ = 17.4°, rel. 695; 2θ = 23.4°, rel. 675; 2θ = 24.0°, rel. 885; 2θ = 24.8°, rel. 1000; 2θ = 29.1°, rel. 862; 2θ = 30.4°, rel. 647; 2θ = 30.5°, rel. 358; 2θ = 34.8°, rel. 455; 2θ = 43.1°, rel. 444; 2θ = 44.7°, rel. 531; 2θ = 47.3°, rel. 439

Structural model:
a = 10.8153 Å, b = 7.1672 Å, c = 4.0379 Å
α = 90.00°, β = 109.63°, γ = 90.00°
Space group C2/m (No. 12)
Unique sites:
Na1 0.0000 0.0000 0.0000 [2 per cell]
Np1 0.1806 0.5000 0.4161 [4 per cell]
F1 0.0597 0.5000 0.8064 [4 per cell]
F2 0.1267 0.1977 0.3989 [8 per cell]
F3 0.2050 0.0000 0.9744 [4 per cell]